1.
Computed X-ray diffraction stick pattern
Compound: Nd5YHg3
Radiation: λ = 1.5418 Å (Cu Kα)
Structure: a cell relaxed with PBE
Intensities are scaled so that the largest is 100.

Peak list (10 most intense, 10° ≤ 2θ ≤ 90°, sorted by position)
Position (°2θ)  Rel. int.
25.27  14
31.78  91
33.13  100
42.12  23
46.56  31
58.33  32
59.18  19
62.96  32
78.47  14
82.55  15

Lattice parameters (Å, degrees): 9.3678 9.3678 7.0486 90.00 90.00 120.00
Space group P6_3/mcm (No. 193)
Inequivalent atoms, fractional coordinates:
Nd1 0.0000 0.3369 0.2500
Nd2 0.3333 0.6667 0.0000
Y1 0.0000 0.0000 0.0000
Hg1 0.0000 0.3255 0.7500

=====

2.
Computed X-ray diffraction stick pattern
Compound: NdYHg6
Radiation: λ = 1.5418 Å (Cu Kα)
Structure: a cell relaxed with PBE
Intensities are scaled so that the largest is 100.

Peak list (10 most intense, 10° ≤ 2θ ≤ 90°, sorted by position)
Position (°2θ)  Rel. int.
18.83  2
33.31  100
38.19  35
39.57  16
55.12  12
56.16  23
65.94  28
67.82  13
69.95  12
81.73  4

Lattice parameters (Å, degrees): 4.7131 4.7131 9.1107 90.00 90.00 90.00
Space group P4/mmm (No. 123)
Inequivalent atoms, fractional coordinates:
Nd1 0.0000 0.0000 0.0000
Y1 0.0000 0.0000 0.5000
Hg1 0.0000 0.5000 0.2547
Hg2 0.5000 0.5000 0.0000
Hg3 0.5000 0.5000 0.5000